For Li2V3CoO8, a structure optimized by DFT (PBE+U) gives the computed powder XRD pattern in this record (copper Kα).
Lines closer than 0.1° are merged.

Peak list (8 most intense, 15 to 90 degrees two-theta, in order of rising 2θ)
2theta, I (rel.)
18.3, 100
18.4, 45
18.7, 29
35.4, 24
35.7, 19
43.0, 33
43.4, 32
43.8, 31

Atomic structure:
```
Li2V3CoO8
1.0
5.8076 0.0000 0.0000
2.8129 5.1554 0.0000
2.8726 1.6993 9.6995
Li V Co O
4 6 2 16
Direct
0.0000 0.0000 0.0000 Li
0.1318 0.1262 0.6216 Li
0.5024 0.5031 0.4974 Li
0.6367 0.6227 0.1254 Li
0.0700 0.5598 0.3120 V
0.0701 0.5635 0.8114 V
0.3180 0.3069 0.0630 V
0.5653 0.0634 0.8103 V
0.5671 0.0727 0.3067 V
0.8140 0.8180 0.5559 V
0.0730 0.0599 0.3129 Co
0.5698 0.5621 0.8082 Co
0.1582 0.7184 0.4346 O
0.2084 0.6619 0.9191 O
0.2130 0.1831 0.4177 O
0.2159 0.1978 0.9205 O
0.4261 0.9593 0.1981 O
0.4375 0.4137 0.1940 O
0.4413 0.4271 0.7034 O
0.4751 0.9092 0.6939 O
0.6640 0.2122 0.9227 O
0.6968 0.6967 0.9145 O
0.7024 0.7145 0.4379 O
0.7232 0.1564 0.4306 O
0.9156 0.9258 0.6922 O
0.9244 0.4756 0.6937 O
0.9285 0.9383 0.2079 O
0.9758 0.4062 0.1936 O
```